1.
For Tm3Al2Ni6, a structure optimized by DFT (GGA-PBE) gives the simulated X-ray diffraction stick pattern in this record (Cu Kα, 1.54184 Å).
Intensities are scaled so that the largest is 1000.

Principal peaks in the range 2θ from 10° to 80°, sorted by position:
- (2 1 1), d 3.617, I 247
- (2 2 0), d 3.132, I 119
- (3 1 0), d 2.802, I 422
- (2 2 2), d 2.558, I 265
- (3 2 1), d 2.368, I 226
- (4 0 0), d 2.215, I 191
- (3 3 0), d 2.088, I 1000
- (5 2 1), d 1.618, I 186
- (4 3 3), d 1.519, I 133
- (5 3 2), d 1.437, I 163
- (6 2 2), d 1.336, I 120
- (6 3 3), d 1.206, I 285

Structural model:
Lattice parameters (Å, degrees): 8.860 8.860 8.860 90.00 90.00 90.00
Space group Im-3m (No. 229)
Unique sites:
Tm 0.000 0.000 0.295 x12
Al 0.250 0.250 0.250 x8
Ni 0.000 0.334 0.334 x24



2.
For BaSrHfSnO6, a structure optimized by DFT (GGA-PBE) gives the simulated X-ray diffraction stick pattern in this record (Cu Kα, 1.54184 Å).
Intensities are scaled so that the largest is 1000.

Principal peaks in the range 2θ from 10° to 80°, sorted by position:
- (1 1 1), d 4.803, I 46
- (2 0 0), d 4.160, I 64
- (2 2 0), d 2.941, I 1000
- (3 1 1), d 2.508, I 26
- (4 0 0), d 2.080, I 300
- (3 3 1), d 1.909, I 12
- (4 2 0), d 1.860, I 28
- (4 2 2), d 1.698, I 411
- (4 4 0), d 1.471, I 189
- (6 0 0), d 1.387, I 13
- (6 2 0), d 1.315, I 182
- (4 4 4), d 1.201, I 64

Structural model:
Lattice parameters (Å, degrees): 8.319 8.319 8.319 90.00 90.00 90.00
Space group F-43m (No. 216)
Unique sites:
Ba 0.000 0.000 0.000 x4
Sr 0.000 0.000 0.500 x4
Hf 0.250 0.250 0.750 x4
Sn 0.250 0.250 0.250 x4
O 0.000 0.250 0.250 x24



3.
For Ga4Ni3Pt, a structure optimized by DFT (GGA-PBE) gives the simulated X-ray diffraction stick pattern in this record (Cu Kα, 1.54184 Å).
Intensities are scaled so that the largest is 1000.

Principal peaks in the range 2θ from 10° to 80°, sorted by position:
- (1 0 1), d 4.747, I 333
- (0 1 2), d 3.365, I 173
- (1 1 0), d 3.348, I 197
- (0 2 1), d 2.736, I 306
- (2 0 2), d 2.373, I 229
- (2 -1 3), d 2.127, I 1000
- (2 1 1), d 2.118, I 916
- (1 0 4), d 1.946, I 329
- (3 0 0), d 1.935, I 759
- (4 -2 3), d 1.431, I 176
- (1 3 4), d 1.269, I 168
- (1 4 0), d 1.266, I 334

Structural model:
Lattice parameters (Å, degrees): 6.6953 6.6953 8.2651 90.00 90.00 120.00
Space group R3 (No. 146, hexagonal axes)
Unique sites:
Ga 0.0000 0.0000 0.0000 x3
Ga 0.0351 0.2634 0.4423 x9
Ni 0.0965 0.6884 0.8812 x9
Pt 0.0000 0.0000 0.6953 x3



Please write out number 1 again, unchanged.
For Tm3Al2Ni6, a structure optimized by DFT (GGA-PBE) gives the simulated X-ray diffraction stick pattern in this record (Cu Kα, 1.54184 Å).
Intensities are scaled so that the largest is 1000.

Principal peaks in the range 2θ from 10° to 80°, sorted by position:
- (2 1 1), d 3.617, I 247
- (2 2 0), d 3.132, I 119
- (3 1 0), d 2.802, I 422
- (2 2 2), d 2.558, I 265
- (3 2 1), d 2.368, I 226
- (4 0 0), d 2.215, I 191
- (3 3 0), d 2.088, I 1000
- (5 2 1), d 1.618, I 186
- (4 3 3), d 1.519, I 133
- (5 3 2), d 1.437, I 163
- (6 2 2), d 1.336, I 120
- (6 3 3), d 1.206, I 285

Structural model:
Lattice parameters (Å, degrees): 8.860 8.860 8.860 90.00 90.00 90.00
Space group Im-3m (No. 229)
Unique sites:
Tm 0.000 0.000 0.295 x12
Al 0.250 0.250 0.250 x8
Ni 0.000 0.334 0.334 x24